# La2TbPm7Tl2
Theoretical powder X-ray diffraction pattern, Cu Kα (weighted mean of Kα1 and Kα2). Input: a PBE-relaxed structure.
No peak broadening, texture or thermal motion is included.

Largest 12 diffraction maxima, by angle, 2θ from 10° to 90°:
hkl 2 0 3, 29.34°, rel. 100; hkl 2 2 0, 31.04°, rel. 72; hkl 2 2 -1, 32.04°, rel. 23; hkl 3 1 -2, 33.35°, rel. 22; hkl 0 2 3, 34.85°, rel. 51; hkl 1 1 -4, 35.08°, rel. 28; hkl 4 0 0, 35.40°, rel. 31; hkl 0 2 4, 40.79°, rel. 18; hkl 4 2 3, 50.50°, rel. 38; hkl 6 2 0, 60.85°, rel. 22; hkl 2 4 3, 61.07°, rel. 25; hkl 8 2 3, 85.33°, rel. 16

Cell and atoms:
Unit cell a=10.1437 b=7.0009 c=11.4185 alpha=90.00 beta=90.05 gamma=90.00
Space group C2/m (No. 12)
Symmetry-distinct sites (fractional):
1 La 0.0001 0.0000 0.1462
2 Tb 0.0000 0.5000 0.5000
3 Pm 0.0000 0.0000 0.5000
4 Pm 0.1816 0.5000 0.0004
5 Pm 0.2499 0.2501 0.3339
6 Tl 0.9995 0.5000 0.2284